Calculated X-ray diffraction stick pattern
Compound: Y5Co2Hg
Radiation: Cu Kα (λ = 1.5418 Å)
Structure: the PBE geometry in Alexandria

The 6 most intense peaks (10 to 90 degrees two-theta), in order of rising 2θ:
21.2°, I = 32
31.5°, I = 59
33.1°, I = 93
35.7°, I = 71
37.3°, I = 100
68.2°, I = 31

Crystal structure
```
data_Y5Co2Hg
_chemical_formula_sum 'Y20 Co8 Hg4'
_space_group_name_H-M_alt 'I 4/m c m'
_space_group_IT_number 140
_space_group_name_Hall '-I 4 2c'
_cell_length_a 7.617
_cell_length_b 7.617
_cell_length_c 13.393
_cell_angle_alpha 90.00
_cell_angle_beta 90.00
_cell_angle_gamma 90.00
loop_
_atom_site_label
_atom_site_type_symbol
_atom_site_fract_x
_atom_site_fract_y
_atom_site_fract_z
_atom_site_occupancy
Y1 Y 0.000 0.000 0.000 1
Y2 Y 0.162 0.338 0.134 1
Co1 Co 0.134 0.366 0.500 1
Hg1 Hg 0.000 0.000 0.250 1
```

***

Calculated X-ray diffraction stick pattern
Compound: La2SiH2
Radiation: Cu Kα (λ = 1.5418 Å)
Structure: the PBE geometry in Alexandria

The 6 most intense peaks (10 to 90 degrees two-theta), in order of rising 2θ:
23.8°, I = 72
29.2°, I = 26
31.6°, I = 100
32.3°, I = 65
44.1°, I = 35
57.2°, I = 37

Crystal structure
```
data_La2SiH2
_chemical_formula_sum 'La4 Si2 H4'
_space_group_name_H-M_alt 'I 4/m m m'
_space_group_IT_number 139
_space_group_name_Hall '-I 4 2'
_cell_length_a 3.922
_cell_length_b 3.922
_cell_length_c 12.249
_cell_angle_alpha 90.00
_cell_angle_beta 90.00
_cell_angle_gamma 90.00
loop_
_atom_site_label
_atom_site_type_symbol
_atom_site_fract_x
_atom_site_fract_y
_atom_site_fract_z
_atom_site_occupancy
La1 La 0.000 0.000 0.135 1
Si1 Si 0.000 0.000 0.500 1
H1 H 0.000 0.500 0.250 1
```

***

Calculated X-ray diffraction stick pattern
Compound: Cs2O4F
Radiation: Cu Kα (λ = 1.5418 Å)
Structure: the PBE geometry in Alexandria

The 6 most intense peaks (10 to 90 degrees two-theta), in order of rising 2θ:
21.4°, I = 100
22.9°, I = 87
28.1°, I = 40
32.6°, I = 39
36.5°, I = 51
39.3°, I = 58

Crystal structure
```
data_Cs2O4F
_chemical_formula_sum 'Cs4 O8 F2'
_space_group_name_H-M_alt 'P 42/m n m'
_space_group_IT_number 136
_space_group_name_Hall '-P 4n 2n'
_cell_length_a 7.772
_cell_length_b 7.772
_cell_length_c 6.357
_cell_angle_alpha 90.00
_cell_angle_beta 90.00
_cell_angle_gamma 90.00
loop_
_atom_site_label
_atom_site_type_symbol
_atom_site_fract_x
_atom_site_fract_y
_atom_site_fract_z
_atom_site_occupancy
Cs1 Cs 0.241 0.241 0.000 1
O1 O 0.156 0.273 0.500 1
F1 F 0.000 0.000 0.000 1
```

***

Calculated X-ray diffraction stick pattern
Compound: KZnS
Radiation: Cu Kα (λ = 1.5418 Å)
Structure: the PBE geometry in Alexandria

The 6 most intense peaks (10 to 90 degrees two-theta), in order of rising 2θ:
11.7°, I = 81
20.3°, I = 100
26.2°, I = 47
26.4°, I = 74
42.7°, I = 41
59.6°, I = 37

Crystal structure
```
data_KZnS
_chemical_formula_sum 'K4 Zn4 S4'
_space_group_name_H-M_alt 'I m m m'
_space_group_IT_number 71
_space_group_name_Hall '-I 2 2'
_cell_length_a 4.561
_cell_length_b 5.121
_cell_length_c 15.088
_cell_angle_alpha 90.00
_cell_angle_beta 90.00
_cell_angle_gamma 90.00
loop_
_atom_site_label
_atom_site_type_symbol
_atom_site_fract_x
_atom_site_fract_y
_atom_site_fract_z
_atom_site_occupancy
K1 K 0.000 0.000 0.162 1
Zn1 Zn 0.000 0.266 0.500 1
S1 S 0.000 0.000 0.373 1
```

***

Calculated X-ray diffraction stick pattern
Compound: CaTh2BeN4
Radiation: Cu Kα (λ = 1.5418 Å)
Structure: the PBE geometry in Alexandria

The 6 most intense peaks (10 to 90 degrees two-theta), in order of rising 2θ:
15.7°, I = 72
24.9°, I = 49
27.8°, I = 100
29.6°, I = 48
32.5°, I = 46
34.6°, I = 42

Crystal structure
```
data_CaTh2BeN4
_chemical_formula_sum 'Ca4 Th8 Be4 N16'
_space_group_name_H-M_alt 'C m c m'
_space_group_IT_number 63
_space_group_name_Hall '-C 2c 2'
_cell_length_a 3.732
_cell_length_b 12.265
_cell_length_c 11.314
_cell_angle_alpha 90.00
_cell_angle_beta 90.00
_cell_angle_gamma 90.00
loop_
_atom_site_label
_atom_site_type_symbol
_atom_site_fract_x
_atom_site_fract_y
_atom_site_fract_z
_atom_site_occupancy
Ca1 Ca 0.000 0.069 0.250 1
Th1 Th 0.000 0.370 0.062 1
Be1 Be 0.000 0.224 0.750 1
N1 N 0.000 0.000 0.000 1
N2 N 0.000 0.253 0.616 1
N3 N 0.000 0.445 0.250 1
```

***

Calculated X-ray diffraction stick pattern
Compound: BaNaPSe4
Radiation: Cu Kα (λ = 1.5418 Å)
Structure: the PBE geometry in Alexandria

The 6 most intense peaks (10 to 90 degrees two-theta), in order of rising 2θ:
28.4°, I = 54
28.7°, I = 100
31.4°, I = 52
33.4°, I = 75
36.8°, I = 33
51.5°, I = 30

Crystal structure
```
data_BaNaPSe4
_chemical_formula_sum 'Ba2 Na2 P2 Se8'
_space_group_name_H-M_alt 'P 1 21/m 1'
_space_group_IT_number 11
_cell_length_a 7.079
_cell_length_b 7.096
_cell_length_c 8.605
_cell_angle_alpha 90.00
_cell_angle_beta 107.74
_cell_angle_gamma 90.00
loop_
_space_group_symop_operation_xyz
'x,y,z'
'-x,-y,-z'
'-x,y+1/2,-z'
'x,-y+1/2,z'
loop_
_atom_site_label
_atom_site_type_symbol
_atom_site_fract_x
_atom_site_fract_y
_atom_site_fract_z
_atom_site_occupancy
Ba1 Ba 0.241 0.250 0.434 1
Na1 Na 0.254 0.250 0.941 1
P1 P 0.290 0.750 0.187 1
Se1 Se 0.104 0.750 0.932 1
Se2 Se 0.117 0.750 0.369 1
Se3 Se 0.493 0.502 0.239 1
```

***

Calculated X-ray diffraction stick pattern
Compound: Si3Ni5Pt2
Radiation: Cu Kα (λ = 1.5418 Å)
Structure: the PBE geometry in Alexandria

The 6 most intense peaks (10 to 90 degrees two-theta), in order of rising 2θ:
28.7°, I = 45
38.2°, I = 39
40.0°, I = 77
40.7°, I = 100
43.8°, I = 38
50.1°, I = 35

Crystal structure
```
data_Si3Ni5Pt2
_chemical_formula_sum 'Si12 Ni20 Pt8'
_space_group_name_H-M_alt 'C m c 21'
_space_group_IT_number 36
_cell_length_a 3.641
_cell_length_b 21.891
_cell_length_c 6.241
_cell_angle_alpha 90.00
_cell_angle_beta 90.00
_cell_angle_gamma 90.00
loop_
_space_group_symop_operation_xyz
'x,y,z'
'-x,-y,z+1/2'
'-x,y,z'
'x,-y,z+1/2'
'x+1/2,y+1/2,z'
'-x+1/2,-y+1/2,z+1/2'
'-x+1/2,y+1/2,z'
'x+1/2,-y+1/2,z+1/2'
loop_
_atom_site_label
_atom_site_type_symbol
_atom_site_fract_x
_atom_site_fract_y
_atom_site_fract_z
_atom_site_occupancy
Si1 Si 0.000 0.043 0.000 1
Si2 Si 0.000 0.232 0.827 1
Si3 Si 0.000 0.386 0.980 1
Ni1 Ni 0.000 0.055 0.374 1
Ni2 Ni 0.000 0.126 0.751 1
Ni3 Ni 0.000 0.292 0.127 1
Ni4 Ni 0.000 0.293 0.526 1
Ni5 Ni 0.000 0.402 0.604 1
Pt1 Pt 0.000 0.178 0.323 1
Pt2 Pt 0.000 0.472 0.217 1
```

***

Calculated X-ray diffraction stick pattern
Compound: La2MgCoCu
Radiation: Cu Kα (λ = 1.5418 Å)
Structure: the PBE geometry in Alexandria

The 6 most intense peaks (10 to 90 degrees two-theta), in order of rising 2θ:
18.0°, I = 56
30.3°, I = 100
34.5°, I = 70
36.4°, I = 30
39.2°, I = 31
51.1°, I = 45

Crystal structure
```
data_La2MgCoCu
_chemical_formula_sum 'La2 Mg1 Co1 Cu1'
_space_group_name_H-M_alt 'P 4/m m m'
_space_group_IT_number 123
_space_group_name_Hall '-P 4 2'
_cell_length_a 5.193
_cell_length_b 5.193
_cell_length_c 4.931
_cell_angle_alpha 90.00
_cell_angle_beta 90.00
_cell_angle_gamma 90.00
loop_
_atom_site_label
_atom_site_type_symbol
_atom_site_fract_x
_atom_site_fract_y
_atom_site_fract_z
_atom_site_occupancy
La1 La 0.000 0.500 0.000 1
Mg1 Mg 0.000 0.000 0.500 1
Co1 Co 0.000 0.000 0.000 1
Cu1 Cu 0.500 0.500 0.500 1
```

***

Calculated X-ray diffraction stick pattern
Compound: Tb2Pr4DyEr
Radiation: Cu Kα (λ = 1.5418 Å)
Structure: the PBE geometry in Alexandria

The 6 most intense peaks (10 to 90 degrees two-theta), in order of rising 2θ:
30.2°, I = 100
34.6°, I = 17
34.8°, I = 17
35.6°, I = 16
59.3°, I = 15
59.6°, I = 15

Crystal structure
```
data_Tb2Pr4DyEr
_chemical_formula_sum 'Tb2 Pr4 Dy1 Er1'
_space_group_name_H-M_alt 'P m m m'
_space_group_IT_number 47
_cell_length_a 5.156
_cell_length_b 5.186
_cell_length_c 10.092
_cell_angle_alpha 90.00
_cell_angle_beta 90.00
_cell_angle_gamma 90.00
loop_
_space_group_symop_operation_xyz
'x,y,z'
'-x,-y,-z'
'-x,-y,z'
'x,y,-z'
'x,-y,-z'
'-x,y,z'
'-x,y,-z'
'x,-y,z'
loop_
_atom_site_label
_atom_site_type_symbol
_atom_site_fract_x
_atom_site_fract_y
_atom_site_fract_z
_atom_site_occupancy
Tb1 Tb 0.000 0.000 0.000 1
Tb2 Tb 0.500 0.500 0.500 1
Pr1 Pr 0.000 0.500 0.249 1
Pr2 Pr 0.500 0.000 0.250 1
Dy1 Dy 0.000 0.000 0.500 1
Er1 Er 0.500 0.500 0.000 1
```

***

Calculated X-ray diffraction stick pattern
Compound: RbNpAlO4
Radiation: Cu Kα (λ = 1.5418 Å)
Structure: the PBE geometry in Alexandria

The 6 most intense peaks (10 to 90 degrees two-theta), in order of rising 2θ:
19.6°, I = 100
21.0°, I = 52
25.2°, I = 67
28.4°, I = 91
29.3°, I = 83
33.0°, I = 35

Crystal structure
```
data_RbNpAlO4
_chemical_formula_sum 'Rb4 Np4 Al4 O16'
_space_group_name_H-M_alt 'C m c m'
_space_group_IT_number 63
_space_group_name_Hall '-C 2c 2'
_cell_length_a 7.080
_cell_length_b 10.532
_cell_length_c 7.120
_cell_angle_alpha 90.00
_cell_angle_beta 90.00
_cell_angle_gamma 90.00
loop_
_atom_site_label
_atom_site_type_symbol
_atom_site_fract_x
_atom_site_fract_y
_atom_site_fract_z
_atom_site_occupancy
Rb1 Rb 0.000 0.000 0.000 1
Np1 Np 0.000 0.344 0.250 1
Al1 Al 0.000 0.380 0.750 1
O1 O 0.000 0.291 0.539 1
O2 O 0.184 0.500 0.250 1
```

***

Calculated X-ray diffraction stick pattern
Compound: TbSm2Dy6Sc
Radiation: Cu Kα (λ = 1.5418 Å)
Structure: the PBE geometry in Alexandria

The 6 most intense peaks (10 to 90 degrees two-theta), in order of rising 2θ:
29.0°, I = 41
30.8°, I = 95
31.8°, I = 42
31.9°, I = 100
34.0°, I = 42
38.5°, I = 21

Crystal structure
```
data_TbSm2Dy6Sc
_chemical_formula_sum 'Tb4 Sm8 Dy24 Sc4'
_space_group_name_H-M_alt 'C 1 2/c 1'
_space_group_IT_number 15
_cell_length_a 9.015
_cell_length_b 14.837
_cell_length_c 9.543
_cell_angle_alpha 90.00
_cell_angle_beta 98.40
_cell_angle_gamma 90.00
loop_
_space_group_symop_operation_xyz
'x,y,z'
'-x,-y,-z'
'-x,y,-z+1/2'
'x,-y,z+1/2'
'x+1/2,y+1/2,z'
'-x+1/2,-y+1/2,-z'
'-x+1/2,y+1/2,-z+1/2'
'x+1/2,-y+1/2,z+1/2'
loop_
_atom_site_label
_atom_site_type_symbol
_atom_site_fract_x
_atom_site_fract_y
_atom_site_fract_z
_atom_site_occupancy
Tb1 Tb 0.000 0.019 0.250 1
Sm1 Sm 0.250 0.051 0.545 1
Dy1 Dy 0.063 0.189 0.944 1
Dy2 Dy 0.100 0.395 0.117 1
Dy3 Dy 0.211 0.220 0.309 1
Sc1 Sc 0.000 0.411 0.750 1
```

***

Calculated X-ray diffraction stick pattern
Compound: KCu9Ge4
Radiation: Cu Kα (λ = 1.5418 Å)
Structure: the PBE geometry in Alexandria

The 6 most intense peaks (10 to 90 degrees two-theta), in order of rising 2θ:
15.0°, I = 74
36.7°, I = 46
37.2°, I = 80
44.7°, I = 99
45.2°, I = 99
45.5°, I = 100

Crystal structure
```
data_KCu9Ge4
_chemical_formula_sum 'K4 Cu36 Ge16'
_space_group_name_H-M_alt 'I 4/m c m'
_space_group_IT_number 140
_space_group_name_Hall '-I 4 2c'
_cell_length_a 8.329
_cell_length_b 8.329
_cell_length_c 12.087
_cell_angle_alpha 90.00
_cell_angle_beta 90.00
_cell_angle_gamma 90.00
loop_
_atom_site_label
_atom_site_type_symbol
_atom_site_fract_x
_atom_site_fract_y
_atom_site_fract_z
_atom_site_occupancy
K1 K 0.000 0.000 0.250 1
Cu1 Cu 0.000 0.500 0.000 1
Cu2 Cu 0.062 0.205 0.000 1
Cu3 Cu 0.117 0.383 0.179 1
Ge1 Ge 0.180 0.320 0.379 1
```

***

Calculated X-ray diffraction stick pattern
Compound: TeI2
Radiation: Cu Kα (λ = 1.5418 Å)
Structure: the PBE geometry in Alexandria

The 6 most intense peaks (10 to 90 degrees two-theta), in order of rising 2θ:
14.2°, I = 100
22.5°, I = 72
25.7°, I = 61
31.2°, I = 68
37.4°, I = 80
43.5°, I = 26

Crystal structure
```
data_TeI2
_chemical_formula_sum 'Te2 I4'
_space_group_name_H-M_alt 'P 42/m n m'
_space_group_IT_number 136
_space_group_name_Hall '-P 4n 2n'
_cell_length_a 8.821
_cell_length_b 8.821
_cell_length_c 4.168
_cell_angle_alpha 90.00
_cell_angle_beta 90.00
_cell_angle_gamma 90.00
loop_
_atom_site_label
_atom_site_type_symbol
_atom_site_fract_x
_atom_site_fract_y
_atom_site_fract_z
_atom_site_occupancy
Te1 Te 0.000 0.000 0.000 1
I1 I 0.173 0.173 0.500 1
```